(1)
This entry pairs a crystal structure of Ba2In4Hg9 with its simulated powder XRD pattern. Radiation: Cu Kα (λ = 1.5418 Å). Structure: a crystal structure in Alexandria, relaxed with GGA-PBE.
No peak broadening, texture or thermal motion is included.

Principal peaks in the range 2θ from 5° to 70°, in order of rising 2θ:
2θ (°)	Rel. int.	h k l
9.15	14	0 0 2
30.66	69	0 1 5
34.39	45	1 0 6
35.01	100	1 1 0
38.38	11	0 1 7
47.21	21	2 0 5
49.89	16	0 2 6
60.11	21	1 2 5
62.40	17	2 1 6
62.80	19	3 0 0

Structure:
Unit cell a=5.1260 b=5.1260 c=19.3362 alpha=90.00 beta=90.00 gamma=120.00
Space group P-3m1 (No. 164)
Asymmetric unit:
Ba  0.3333  0.6667  0.2609 x2
In  0.3333  0.6667  0.6114 x2
In  0.3333  0.6667  0.8854 x2
Hg  0.0000  0.0000  0.0000 x1
Hg  0.0000  0.0000  0.1675 x2
Hg  0.0000  0.0000  0.3604 x2
Hg  0.3333  0.6667  0.0624 x2
Hg  0.3333  0.6667  0.4598 x2

***

(2)
This entry pairs a crystal structure of Ba8In3Hg2 with its simulated powder XRD pattern. Radiation: Cu Kα (λ = 1.5418 Å). Structure: a crystal structure in Alexandria, relaxed with GGA-PBE.
No peak broadening, texture or thermal motion is included.

Principal peaks in the range 2θ from 5° to 70°, in order of rising 2θ:
2θ (°)	Rel. int.	h k l
18.16	27	2 2 0
29.78	100	2 4 1
30.06	49	0 0 2
35.35	10	2 2 2
42.20	10	0 8 0
43.03	18	4 0 2
52.68	20	0 8 2
53.21	39	2 4 3
61.85	12	4 8 2
69.53	9	2 12 1

Structure:
Unit cell a=11.9049 b=17.1330 c=5.9382 alpha=90.00 beta=90.00 gamma=90.00
Space group Cmmm (No. 65)
Asymmetric unit:
Ba  0.0000  0.1235  0.0000 x4
Ba  0.0000  0.3736  0.0000 x4
Ba  0.2472  0.3751  0.5000 x8
In  0.0000  0.5000  0.5000 x2
In  0.2452  0.5000  0.0000 x4
Hg  0.0000  0.2480  0.5000 x4

***

(3)
This entry pairs a crystal structure of Ba12InHg5 with its simulated powder XRD pattern. Radiation: Cu Kα (λ = 1.5418 Å). Structure: a crystal structure in Alexandria, relaxed with GGA-PBE.
No peak broadening, texture or thermal motion is included.

Principal peaks in the range 2θ from 5° to 70°, in order of rising 2θ:
2θ (°)	Rel. int.	h k l
15.63	14	2 0 0
26.19	35	2 2 2
28.01	100	1 3 2
28.53	65	2 3 1
28.98	14	3 2 1
31.18	14	1 1 4
31.57	31	4 0 0
32.27	20	3 0 3
32.93	15	0 2 4
48.66	23	5 3 2

Structure:
Unit cell a=11.3358 b=11.8213 c=12.2537 alpha=90.00 beta=90.00 gamma=90.00
Space group Immm (No. 71)
Asymmetric unit:
Ba  0.0000  0.1847  0.2454 x8
Ba  0.2046  0.5000  0.1615 x8
Ba  0.2273  0.3273  0.5000 x8
In  0.0000  0.0000  0.5000 x2
Hg  0.0000  0.0000  0.0000 x2
Hg  0.0000  0.3406  0.0000 x4
Hg  0.0000  0.5000  0.3703 x4

***

(4)
This entry pairs a crystal structure of Ba2In12Hg with its simulated powder XRD pattern. Radiation: Cu Kα (λ = 1.5418 Å). Structure: a crystal structure in Alexandria, relaxed with GGA-PBE.
No peak broadening, texture or thermal motion is included.

Principal peaks in the range 2θ from 5° to 70°, in order of rising 2θ:
2θ (°)	Rel. int.	h k l
26.69	53	1 1 4
26.97	56	2 0 2
31.88	18	2 1 3
32.16	28	2 0 4
35.03	19	1 1 6
35.65	100	2 2 0
39.47	45	2 0 6
40.38	18	3 1 1
45.10	30	3 1 4
58.21	24	3 1 8

Structure:
Unit cell a=7.1195 b=7.1195 c=17.8524 alpha=90.00 beta=90.00 gamma=90.00
Space group P4/nbm (No. 125, origin choice 2)
Asymmetric unit:
Ba  0.2500  0.7500  0.2478 x4
In  0.0001  0.9999  0.0896 x8
In  0.0801  0.5801  0.4316 x8
In  0.2500  0.2500  0.1839 x4
In  0.2500  0.2500  0.3469 x4
Hg  0.2500  0.7500  0.0000 x2